# 1
Structure and theoretical PXRD pattern of Sr5As3ClO12 (a crystal structure in the Materials Project, relaxed with GGA-PBE; Cu Ka).
Peak positions follow from Bragg's law for the DFT cell and can differ from measured ones.

Top 10 peaks for 2θ = 10–80°, by angle:
d_spacing, Rel. int.
3.650, 17
3.422, 15
3.099, 100
3.018, 58
2.993, 80
2.125, 33
1.998, 17
1.983, 30
1.825, 15
1.562, 14

Cell and atoms:
Lattice parameters (Å, degrees): 10.4551 10.4551 7.3007 90.00 90.00 120.00
Atoms (fractional coordinates):
Sr  0.0097  0.7531  0.2500
Sr  0.2469  0.2566  0.2500
Sr  0.2566  0.0097  0.7500
Sr  0.3333  0.6667  0.5024
Sr  0.3333  0.6667  0.9976
Sr  0.6667  0.3333  0.0024
Sr  0.6667  0.3333  0.4976
Sr  0.7434  0.9903  0.2500
Sr  0.7531  0.7434  0.7500
Sr  0.9903  0.2469  0.7500
As  0.0309  0.4080  0.2500
As  0.3771  0.9691  0.2500
As  0.4080  0.3771  0.7500
As  0.5920  0.6229  0.2500
As  0.6229  0.0309  0.7500
As  0.9691  0.5920  0.7500
Cl  0.0000  0.0000  0.0000
Cl  0.0000  0.0000  0.5000
O  0.0913  0.3533  0.0621
O  0.0913  0.3533  0.4379
O  0.1295  0.5995  0.2500
O  0.1564  0.6612  0.7500
O  0.2620  0.9087  0.0621
O  0.2620  0.9087  0.4379
O  0.3388  0.4952  0.7500
O  0.3533  0.2620  0.5621
O  0.3533  0.2620  0.9379
O  0.4005  0.5300  0.2500
O  0.4700  0.8705  0.2500
O  0.4952  0.1564  0.2500
O  0.5048  0.8436  0.7500
O  0.5300  0.1295  0.7500
O  0.5995  0.4700  0.7500
O  0.6467  0.7380  0.0621
O  0.6467  0.7380  0.4379
O  0.6612  0.5048  0.2500
O  0.7380  0.0913  0.5621
O  0.7380  0.0913  0.9379
O  0.8436  0.3388  0.2500
O  0.8705  0.4005  0.7500
O  0.9087  0.6467  0.5621
O  0.9087  0.6467  0.9379

# 2
Structure and theoretical PXRD pattern of V3P (a crystal structure in the Materials Project, relaxed with GGA-PBE; Cu Ka).
Peak positions follow from Bragg's law for the DFT cell and can differ from measured ones.

Top 10 peaks for 2θ = 10–80°, by angle:
d_spacing, Rel. int.
2.507, 21
2.273, 100
2.232, 71
2.201, 49
2.088, 43
2.044, 76
1.926, 52
1.832, 25
1.301, 16
1.296, 16

Cell and atoms:
Lattice parameters (Å, degrees): 9.3398 9.3398 4.7436 90.00 90.00 90.00
Atoms (fractional coordinates):
V  0.0341  0.5552  0.2409
V  0.0552  0.9659  0.7409
V  0.1023  0.2389  0.0139
V  0.1579  0.6673  0.7309
V  0.1673  0.8421  0.2309
V  0.2389  0.3977  0.4861
V  0.2611  0.1023  0.4861
V  0.3327  0.6579  0.2309
V  0.3421  0.8327  0.7309
V  0.3977  0.2611  0.0139
V  0.4448  0.5341  0.7409
V  0.4659  0.9448  0.2409
V  0.5341  0.0552  0.7591
V  0.5552  0.4659  0.2591
V  0.6023  0.7389  0.9861
V  0.6579  0.1673  0.2691
V  0.6673  0.3421  0.7691
V  0.7389  0.8977  0.5139
V  0.7611  0.6023  0.5139
V  0.8327  0.1579  0.7691
V  0.8421  0.3327  0.2691
V  0.8977  0.7611  0.9861
V  0.9448  0.0341  0.2591
V  0.9659  0.4448  0.7591
P  0.0418  0.2285  0.5163
P  0.2285  0.4582  0.9837
P  0.2715  0.0418  0.9837
P  0.4582  0.2715  0.5163
P  0.5419  0.7285  0.4837
P  0.7285  0.9582  0.0163
P  0.7715  0.5419  0.0163
P  0.9582  0.7715  0.4837

# 3
Structure and theoretical PXRD pattern of Y5Fe2Te2 (a crystal structure in the Materials Project, relaxed with GGA-PBE; Cu Ka).
Peak positions follow from Bragg's law for the DFT cell and can differ from measured ones.

Top 10 peaks for 2θ = 10–80°, by angle:
d_spacing, Rel. int.
3.117, 42
3.054, 75
2.829, 28
2.703, 84
2.687, 100
2.657, 64
2.406, 41
2.387, 55
1.981, 43
1.594, 39

Cell and atoms:
Lattice parameters (Å, degrees): 7.8278 7.8278 15.2504 90.00 90.00 150.68
Atoms (fractional coordinates):
Y  0.0381  0.9619  0.6193
Y  0.0381  0.9619  0.8807
Y  0.2572  0.7428  0.1287
Y  0.2572  0.7428  0.3713
Y  0.3967  0.6033  0.7500
Y  0.6033  0.3967  0.2500
Y  0.7428  0.2572  0.6287
Y  0.7428  0.2572  0.8713
Y  0.9619  0.0381  0.1193
Y  0.9619  0.0381  0.3807
Fe  0.1698  0.8302  0.7500
Fe  0.4058  0.5942  0.2500
Fe  0.5942  0.4058  0.7500
Fe  0.8302  0.1698  0.2500
Te  0.3823  0.6177  0.5395
Te  0.3823  0.6177  0.9605
Te  0.6177  0.3823  0.0395
Te  0.6177  0.3823  0.4605

# 4
Structure and theoretical PXRD pattern of Nd2S3 (a crystal structure in the Materials Project, relaxed with GGA-PBE; Cu Ka).
Peak positions follow from Bragg's law for the DFT cell and can differ from measured ones.

Top 10 peaks for 2θ = 10–80°, by angle:
d_spacing, Rel. int.
3.924, 19
3.653, 22
3.479, 100
3.206, 30
2.601, 41
2.438, 21
2.356, 26
2.111, 21
2.029, 20
1.897, 19

Cell and atoms:
Lattice parameters (Å, degrees): 7.5131 4.0580 15.6833 90.00 90.00 90.00
Atoms (fractional coordinates):
Nd  0.1449  0.2500  0.2044
Nd  0.2353  0.7500  0.4560
Nd  0.2647  0.2500  0.9560
Nd  0.3551  0.7500  0.7044
Nd  0.6449  0.2500  0.2956
Nd  0.7353  0.7500  0.0440
Nd  0.7647  0.2500  0.5440
Nd  0.8551  0.7500  0.7956
S  0.0096  0.2500  0.3909
S  0.1260  0.7500  0.0674
S  0.1456  0.2500  0.7811
S  0.3544  0.7500  0.2811
S  0.3740  0.2500  0.5674
S  0.4904  0.7500  0.8909
S  0.5096  0.2500  0.1091
S  0.6260  0.7500  0.4326
S  0.6456  0.2500  0.7189
S  0.8544  0.7500  0.2189
S  0.8740  0.2500  0.9326
S  0.9904  0.7500  0.6091

# 5
Structure and theoretical PXRD pattern of MgMo6Se8 (a crystal structure in the Materials Project, relaxed with GGA-PBE; Cu Ka).
Peak positions follow from Bragg's law for the DFT cell and can differ from measured ones.

Top 10 peaks for 2θ = 10–80°, by angle:
d_spacing, Rel. int.
6.813, 100
2.955, 13
2.292, 14
2.152, 13
2.109, 18
2.103, 13
2.054, 20
2.037, 15
1.897, 14
1.861, 12

Cell and atoms:
Lattice parameters (Å, degrees): 6.8377 6.8558 13.6624 90.79 94.34 94.47
Atoms (fractional coordinates):
Mg  0.1167  0.4168  0.2484
Mg  0.8833  0.5832  0.7516
Mo  0.2307  0.9112  0.0215
Mo  0.2362  0.9133  0.5234
Mo  0.4130  0.0516  0.8684
Mo  0.4172  0.0521  0.3671
Mo  0.4563  0.2659  0.0406
Mo  0.4570  0.2665  0.5399
Mo  0.5430  0.7335  0.4601
Mo  0.5437  0.7341  0.9594
Mo  0.5828  0.9479  0.6329
Mo  0.5870  0.9484  0.1316
Mo  0.7638  0.0867  0.4766
Mo  0.7693  0.0888  0.9785
Se  0.1286  0.2384  0.4336
Se  0.1317  0.2340  0.9351
Se  0.2079  0.7269  0.3582
Se  0.2114  0.7156  0.8589
Se  0.2686  0.1091  0.1817
Se  0.2717  0.1194  0.6826
Se  0.3705  0.6199  0.1185
Se  0.3749  0.6189  0.6183
Se  0.6251  0.3811  0.3817
Se  0.6295  0.3801  0.8815
Se  0.7283  0.8806  0.3174
Se  0.7314  0.8909  0.8183
Se  0.7886  0.2844  0.1411
Se  0.7921  0.2731  0.6418
Se  0.8683  0.7660  0.0649
Se  0.8714  0.7616  0.5664

# 6
Structure and theoretical PXRD pattern of Cs2PH4Se3O2 (a crystal structure in the Materials Project, relaxed with GGA-PBE; Cu Ka).
Peak positions follow from Bragg's law for the DFT cell and can differ from measured ones.

Top 10 peaks for 2θ = 10–80°, by angle:
d_spacing, Rel. int.
6.508, 25
3.993, 34
3.293, 63
3.241, 47
3.157, 25
3.101, 37
3.068, 55
2.835, 100
2.008, 25
1.803, 25

Cell and atoms:
Lattice parameters (Å, degrees): 10.2126 13.0165 8.0337 90.00 90.00 90.00
Atoms (fractional coordinates):
Cs  0.0000  0.0000  0.0000
Cs  0.0000  0.0000  0.5000
Cs  0.1052  0.3401  0.0000
Cs  0.3948  0.8401  0.5000
Cs  0.5000  0.5000  0.0000
Cs  0.5000  0.5000  0.5000
Cs  0.6052  0.1599  0.5000
Cs  0.8948  0.6599  0.0000
P  0.1135  0.4911  0.5000
P  0.3865  0.9911  0.0000
P  0.6135  0.0089  0.0000
P  0.8865  0.5089  0.5000
H  0.0514  0.7611  0.3190
H  0.0514  0.7611  0.6810
H  0.1584  0.8072  0.2003
H  0.1584  0.8072  0.7997
H  0.3416  0.3072  0.2997
H  0.3416  0.3072  0.7003
H  0.4486  0.2611  0.1810
H  0.4486  0.2611  0.8190
H  0.5514  0.7389  0.1810
H  0.5514  0.7389  0.8190
H  0.6584  0.6928  0.2997
H  0.6584  0.6928  0.7003
H  0.8416  0.1928  0.2003
H  0.8416  0.1928  0.7997
H  0.9486  0.2389  0.3190
H  0.9486  0.2389  0.6810
Se  0.1490  0.3213  0.5000
Se  0.1872  0.5666  0.2738
Se  0.1872  0.5666  0.7262
Se  0.3128  0.0666  0.2262
Se  0.3128  0.0666  0.7738
Se  0.3510  0.8213  0.0000
Se  0.6490  0.1787  0.0000
Se  0.6872  0.9334  0.2262
Se  0.6872  0.9334  0.7738
Se  0.8128  0.4334  0.2738
Se  0.8128  0.4334  0.7262
Se  0.8510  0.6787  0.5000
O  0.0759  0.8243  0.2581
O  0.0759  0.8243  0.7419
O  0.4241  0.3243  0.2419
O  0.4241  0.3243  0.7581
O  0.5759  0.6757  0.2419
O  0.5759  0.6757  0.7581
O  0.9241  0.1757  0.2581
O  0.9241  0.1757  0.7419

# 7
Structure and theoretical PXRD pattern of Sc3Al (a crystal structure in the Materials Project, relaxed with GGA-PBE; Cu Ka).
Peak positions follow from Bragg's law for the DFT cell and can differ from measured ones.

Top 10 peaks for 2θ = 10–80°, by angle:
d_spacing, Rel. int.
4.430, 4
3.132, 3
2.558, 100
2.215, 48
1.981, 1
1.808, 1
1.566, 29
1.477, 1
1.336, 33
1.279, 9

Cell and atoms:
Lattice parameters (Å, degrees): 4.4299 4.4299 4.4299 90.00 90.00 90.00
Atoms (fractional coordinates):
Sc  0.0000  0.0000  0.5000
Sc  0.0000  0.5000  0.0000
Sc  0.5000  0.0000  0.0000
Al  0.5000  0.5000  0.5000

# 8
Structure and theoretical PXRD pattern of Rb2SCl6F (a crystal structure in the Materials Project, relaxed with GGA-PBE; Cu Ka).
Peak positions follow from Bragg's law for the DFT cell and can differ from measured ones.

Top 10 peaks for 2θ = 10–80°, by angle:
d_spacing, Rel. int.
5.796, 10
3.549, 59
2.898, 100
2.510, 84
2.049, 23
1.775, 51
1.587, 14
1.513, 33
1.449, 16
1.342, 14

Cell and atoms:
Lattice parameters (Å, degrees): 7.0987 7.0987 7.0987 60.00 60.00 60.00
Atoms (fractional coordinates):
Rb  0.2500  0.2500  0.2500
Rb  0.7500  0.7500  0.7500
S  0.0000  0.0000  0.0000
Cl  0.2296  0.2296  0.7704
Cl  0.2296  0.7704  0.2296
Cl  0.2296  0.7704  0.7704
Cl  0.7704  0.2296  0.2296
Cl  0.7704  0.2296  0.7704
Cl  0.7704  0.7704  0.2296
F  0.5000  0.5000  0.5000